No. 1
Diffraction record for Ba2TmMgNbO6. The powder X-ray diffraction pattern is computed, not measured: it uses a crystal structure in the Materials Project, relaxed with GGA-PBE and λ = 1.5418 Å (Cu Kα).

Principal peaks in the range 2θ = 10–80°, in order of rising 2θ:
d 4.430, rel. 22; d 3.300, rel. 53; d 2.988, rel. 100; d 2.856, rel. 39; d 2.215, rel. 32; d 2.064, rel. 53; d 1.779, rel. 18; d 1.725, rel. 20; d 1.605, rel. 15; d 1.494, rel. 18; d 1.477, rel. 14; d 1.324, rel. 12

Structure:
```
Ba2TmMgNbO6
1.0
5.1744 -2.9883 0.0000
5.1744 2.9883 0.0000
-3.4445 0.0000 5.7106
Ba Tm Mg Nb O
2 1 1 1 6
Cartesian
0.0000 0.0000 0.0000 Ba
3.4559 0.0000 3.4917 Ba
0.0051 0.0000 3.5442 Tm
3.4483 0.0000 0.5737 Mg
6.8984 0.0000 1.1717 Nb
6.0553 1.4672 2.3037 O
1.7067 0.0000 5.3558 O
4.3246 1.5083 5.3629 O
6.0553 -1.4672 2.3037 O
8.5915 0.0000 2.3103 O
4.3246 -1.5083 5.3629 O
```

No. 2
Diffraction record for Ba2TmMgNbO6. The powder X-ray diffraction pattern is computed, not measured: it uses a crystal structure in the Materials Project, relaxed with GGA-PBE and λ = 1.5418 Å (Cu Kα).

Principal peaks in the range 2θ = 10–80°, in order of rising 2θ:
d 4.939, rel. 15; d 3.330, rel. 56; d 2.973, rel. 100; d 2.890, rel. 51; d 2.218, rel. 34; d 2.080, rel. 17; d 2.072, rel. 22; d 1.778, rel. 19; d 1.716, rel. 20; d 1.700, rel. 21; d 1.625, rel. 18; d 1.487, rel. 18

Structure:
```
Ba2TmMgNbO6
1.0
5.1501 -2.9726 0.0000
5.1501 2.9726 0.0000
-3.4373 0.0000 5.8195
Ba Tm Mg Nb O
2 1 1 1 6
Cartesian
0.0000 0.0000 0.0000 Ba
3.4297 0.0000 4.2264 Ba
6.8650 0.0000 1.9631 Tm
3.4335 0.0000 1.2769 Mg
-0.0028 0.0000 4.4059 Nb
2.6206 1.4154 0.1842 O
0.8477 1.4708 3.3736 O
-1.6973 0.0000 3.3710 O
2.6206 -1.4154 0.1842 O
5.0727 0.0000 0.1934 O
0.8477 -1.4708 3.3736 O
```

No. 3
Diffraction record for Ba2TmMgNbO6. The powder X-ray diffraction pattern is computed, not measured: it uses a crystal structure in the Materials Project, relaxed with GGA-PBE and λ = 1.5418 Å (Cu Kα).

Principal peaks in the range 2θ = 10–80°, in order of rising 2θ:
d 4.992, rel. 16; d 3.146, rel. 100; d 3.125, rel. 43; d 2.970, rel. 37; d 2.757, rel. 28; d 2.153, rel. 46; d 2.031, rel. 12; d 2.020, rel. 21; d 1.808, rel. 21; d 1.747, rel. 19; d 1.573, rel. 12; d 1.535, rel. 11

Structure:
```
Ba2TmMgNbO6
1.0
-2.9697 3.1248 4.6078
2.9697 -3.1248 4.6078
2.9697 3.1248 -4.6078
Ba Tm Mg Nb O
2 1 1 1 6
Cartesian
0.0000 0.0000 1.7488 Ba
0.0000 0.0000 7.4668 Ba
0.0000 3.1248 0.0000 Tm
0.0000 0.0000 4.6078 Mg
2.9697 0.0000 0.0000 Nb
2.9697 0.0000 2.1803 O
1.5935 1.6449 0.0000 O
4.3459 1.6449 0.0000 O
-1.3762 1.4799 4.6078 O
1.3762 1.4799 4.6078 O
0.0000 3.1248 2.4275 O
```

No. 4
Diffraction record for Ba2NdMgRuO6. The powder X-ray diffraction pattern is computed, not measured: it uses a crystal structure in the Materials Project, relaxed with GGA-PBE and λ = 1.5418 Å (Cu Kα).

Principal peaks in the range 2θ = 10–80°, in order of rising 2θ:
d 3.178, rel. 100; d 3.093, rel. 41; d 3.018, rel. 39; d 2.791, rel. 25; d 2.777, rel. 13; d 2.160, rel. 47; d 2.061, rel. 12; d 2.049, rel. 20; d 1.802, rel. 20; d 1.772, rel. 19; d 1.589, rel. 11; d 1.377, rel. 16

Structure:
```
Ba2NdMgRuO6
1.0
-3.0177 3.0933 4.6913
3.0177 -3.0933 4.6913
3.0177 3.0933 -4.6913
Ba Nd Mg Ru O
2 1 1 1 6
Cartesian
0.0000 0.0000 1.7716 Ba
0.0000 0.0000 7.6109 Ba
0.0000 3.0933 0.0000 Nd
0.0000 0.0000 4.6913 Mg
3.0177 0.0000 0.0000 Ru
3.0177 0.0000 2.1717 O
1.6747 1.5609 0.0000 O
4.3608 1.5609 0.0000 O
-1.3431 1.5323 4.6913 O
1.3431 1.5323 4.6913 O
0.0000 3.0933 2.5196 O
```

No. 5
Diffraction record for Ba2NdMgRuO6. The powder X-ray diffraction pattern is computed, not measured: it uses a crystal structure in the Materials Project, relaxed with GGA-PBE and λ = 1.5418 Å (Cu Kα).

Principal peaks in the range 2θ = 10–80°, in order of rising 2θ:
d 4.464, rel. 28; d 3.314, rel. 40; d 3.020, rel. 100; d 2.867, rel. 32; d 2.232, rel. 26; d 2.076, rel. 56; d 1.795, rel. 13; d 1.743, rel. 20; d 1.712, rel. 13; d 1.510, rel. 18; d 1.488, rel. 15; d 1.335, rel. 13

Structure:
```
Ba2NdMgRuO6
1.0
3.0198 1.7435 5.7116
-3.0198 1.7435 5.7116
0.0000 -3.4870 5.7116
Ba Nd Mg Ru O
2 1 1 1 6
Cartesian
0.0000 0.0000 0.0000 Ba
0.0000 0.0000 7.7963 Ba
0.0000 0.0000 13.6780 Nd
0.0000 0.0000 10.8174 Mg
0.0000 0.0000 4.6661 Ru
-1.5285 -0.8825 5.9790 O
0.0000 -1.6478 3.4959 O
-1.4270 0.8239 3.4959 O
1.5285 -0.8825 5.9790 O
0.0000 1.7650 5.9790 O
1.4270 0.8239 3.4959 O
```

No. 6
Diffraction record for Ba2NdMgRuO6. The powder X-ray diffraction pattern is computed, not measured: it uses a crystal structure in the Materials Project, relaxed with GGA-PBE and λ = 1.5418 Å (Cu Kα).

Principal peaks in the range 2θ = 10–80°, in order of rising 2θ:
d 5.880, rel. 12; d 3.351, rel. 54; d 2.977, rel. 100; d 2.912, rel. 44; d 2.226, rel. 34; d 2.092, rel. 18; d 2.082, rel. 19; d 1.783, rel. 18; d 1.719, rel. 20; d 1.706, rel. 17; d 1.669, rel. 12; d 1.489, rel. 18

Structure:
```
Ba2NdMgRuO6
1.0
2.9770 1.7188 5.8798
-2.9770 1.7188 5.8798
0.0000 -3.4376 5.8798
Ba Nd Mg Ru O
2 1 1 1 6
Cartesian
0.0000 0.0000 0.0000 Ba
0.0000 0.0000 7.3997 Ba
0.0000 0.0000 3.6609 Nd
0.0000 0.0000 14.5933 Mg
0.0000 0.0000 12.1037 Ru
-1.4468 -0.8353 13.6406 O
0.0000 -1.6469 10.9864 O
-1.4263 0.8235 10.9864 O
1.4468 -0.8353 13.6406 O
0.0000 1.6707 13.6406 O
1.4263 0.8235 10.9864 O
```

No. 7
Diffraction record for BaMg6Ni. The powder X-ray diffraction pattern is computed, not measured: it uses a crystal structure in the Materials Project, relaxed with GGA-PBE and λ = 1.5418 Å (Cu Kα).

Principal peaks in the range 2θ = 10–80°, in order of rising 2θ:
d 5.768, rel. 100; d 3.850, rel. 57; d 3.551, rel. 42; d 2.940, rel. 94; d 2.884, rel. 41; d 2.862, rel. 41; d 2.679, rel. 49; d 2.429, rel. 82; d 2.253, rel. 32; d 2.112, rel. 22; d 1.769, rel. 22; d 1.724, rel. 25

Structure:
```
BaMg6Ni
1.0
4.5070 0.0000 0.0000
0.0000 6.2622 0.0000
0.0000 0.0000 14.8166
Ba Mg Ni
2 12 2
Cartesian
0.0000 0.0000 0.0000 Ba
0.0000 3.1311 7.4083 Ba
0.0000 0.0000 6.0594 Mg
0.0000 1.5102 3.0143 Mg
0.0000 1.6209 10.4226 Mg
0.0000 3.1311 13.4677 Mg
0.0000 4.6413 10.4226 Mg
0.0000 4.7520 3.0143 Mg
2.2535 0.0000 8.7260 Mg
2.2535 1.5443 12.2452 Mg
2.2535 1.5869 4.8369 Mg
2.2535 3.1311 1.3177 Mg
2.2535 4.6754 4.8369 Mg
2.2535 4.7180 12.2452 Mg
2.2535 0.0000 2.6355 Ni
2.2535 3.1311 10.0437 Ni
```

No. 8
Diffraction record for BaMg6Ni. The powder X-ray diffraction pattern is computed, not measured: it uses a crystal structure in the Materials Project, relaxed with GGA-PBE and λ = 1.5418 Å (Cu Kα).

Principal peaks in the range 2θ = 10–80°, in order of rising 2θ:
d 6.845, rel. 58; d 5.514, rel. 43; d 5.002, rel. 50; d 4.039, rel. 36; d 3.705, rel. 43; d 3.637, rel. 48; d 2.942, rel. 100; d 2.825, rel. 50; d 2.757, rel. 42; d 2.501, rel. 51; d 2.493, rel. 48; d 2.415, rel. 100

Structure:
```
BaMg6Ni
1.0
5.0021 0.0000 0.0000
0.0000 6.0245 0.0000
0.0000 0.0000 13.6893
Ba Mg Ni
2 12 2
Cartesian
0.0000 0.0000 0.0000 Ba
0.0000 3.0122 6.8446 Ba
0.0000 1.4773 10.1542 Mg
0.0000 1.5350 3.3096 Mg
0.0000 4.4895 3.3096 Mg
0.0000 4.5472 10.1542 Mg
2.5010 0.0000 2.3168 Mg
2.5010 0.0000 8.1102 Mg
2.5010 1.4214 5.1127 Mg
2.5010 1.5908 11.9573 Mg
2.5010 3.0122 1.2656 Mg
2.5010 3.0122 9.1614 Mg
2.5010 4.4337 11.9573 Mg
2.5010 4.6031 5.1127 Mg
0.0000 0.0000 5.3841 Ni
0.0000 3.0122 12.2287 Ni
```

No. 9
Diffraction record for BaMg3O4. The powder X-ray diffraction pattern is computed, not measured: it uses a crystal structure in the Materials Project, relaxed with GGA-PBE and λ = 1.5418 Å (Cu Kα).

Principal peaks in the range 2θ = 10–80°, in order of rising 2θ:
d 4.841, rel. 86; d 3.423, rel. 75; d 2.795, rel. 53; d 2.421, rel. 100; d 2.165, rel. 43; d 1.976, rel. 32; d 1.712, rel. 64; d 1.614, rel. 21; d 1.531, rel. 14; d 1.460, rel. 26; d 1.398, rel. 20; d 1.294, rel. 17

Structure:
```
BaMg3O4
1.0
4.8413 0.0000 0.0000
0.0000 4.8413 0.0000
0.0000 0.0000 4.8413
Ba Mg O
1 3 4
Cartesian
0.0000 0.0000 0.0000 Ba
0.0000 2.4207 2.4207 Mg
2.4207 0.0000 2.4207 Mg
2.4207 2.4207 0.0000 Mg
0.0000 0.0000 2.4207 O
0.0000 2.4207 0.0000 O
2.4207 0.0000 0.0000 O
2.4207 2.4207 2.4207 O
```

No. 10
Diffraction record for Ba2MgP2O8. The powder X-ray diffraction pattern is computed, not measured: it uses a crystal structure in the Materials Project, relaxed with GGA-PBE and λ = 1.5418 Å (Cu Kα).

Principal peaks in the range 2θ = 10–80°, in order of rising 2θ:
d 5.132, rel. 58; d 3.538, rel. 65; d 3.511, rel. 91; d 3.461, rel. 68; d 3.183, rel. 92; d 3.170, rel. 100; d 3.019, rel. 39; d 2.806, rel. 46; d 2.697, rel. 59; d 2.581, rel. 42; d 2.006, rel. 52; d 1.991, rel. 40

Structure:
```
Ba2MgP2O8
1.0
5.3952 0.0000 0.0000
0.0000 8.9647 0.0000
-5.2473 0.0000 16.3390
Ba Mg P O
8 4 8 32
Cartesian
-1.2915 1.4125 4.4341 Ba
-3.9151 3.0698 12.6036 Ba
-4.1650 6.3108 16.0169 Ba
-1.5413 7.1362 7.8474 Ba
1.6892 1.8285 8.4915 Ba
4.3129 2.6539 0.3221 Ba
4.0630 5.8949 3.7353 Ba
1.4394 7.5521 11.9048 Ba
1.4918 0.1468 2.1880 Mg
-1.1318 4.3355 10.3574 Mg
1.2797 4.6291 5.9815 Mg
-1.3440 8.8179 14.1510 Mg
-3.8355 0.7908 15.0727 P
-1.2119 3.6915 6.9032 P
-1.2504 0.9730 10.8926 P
1.3732 3.5094 2.7231 P
-1.2253 5.4553 13.6158 P
1.3983 7.9917 5.4463 P
1.3597 5.2732 9.4358 P
3.9834 8.1738 1.2663 P
-2.7261 5.6988 10.1823 O
-0.1025 7.7482 2.0128 O
1.1583 0.7644 0.2450 O
-1.4654 3.7180 8.4144 O
-1.8138 0.2392 9.6371 O
0.8098 4.2431 1.4676 O
-0.7536 5.0710 6.3291 O
-3.3773 8.3761 14.4985 O
-2.7848 5.4594 13.6352 O
-0.1612 7.9876 5.4657 O
0.8130 2.0444 2.7401 O
-1.8106 2.4379 10.9096 O
-2.6887 1.7823 14.7211 O
-0.0650 2.7000 6.5516 O
-1.7663 0.2451 12.1727 O
0.8574 4.2372 4.0033 O
-0.7095 4.7275 12.3357 O
1.9142 8.7195 4.1662 O
0.2129 6.2647 9.7874 O
2.8365 7.1824 1.6179 O
1.9585 6.5268 5.4294 O
-0.6651 6.9203 13.5988 O
0.3091 0.9771 10.8732 O
2.9327 3.5053 2.7038 O
3.5251 0.5886 1.8404 O
0.9015 3.8937 10.0099 O
-0.6619 4.7216 14.8714 O
1.9617 8.7255 6.7019 O
1.6133 5.2467 7.9245 O
-1.0104 8.2003 16.0940 O
0.2503 1.2164 14.3261 O
2.8740 3.2659 6.1566 O
```

No. 11
Diffraction record for Ba6Pr2MgRu4O18. The powder X-ray diffraction pattern is computed, not measured: it uses a crystal structure in the Materials Project, relaxed with GGA-PBE and λ = 1.5418 Å (Cu Kα).

Principal peaks in the range 2θ = 10–80°, in order of rising 2θ:
d 3.713, rel. 16; d 3.160, rel. 41; d 3.131, rel. 16; d 3.063, rel. 65; d 3.049, rel. 60; d 3.025, rel. 100; d 2.997, rel. 25; d 2.199, rel. 43; d 2.143, rel. 19; d 1.808, rel. 17; d 1.761, rel. 26; d 1.513, rel. 18

Structure:
```
Ba6Pr2MgRu4O18
1.0
5.2270 -3.0629 0.0000
5.2270 3.0629 0.0000
-0.8383 0.0000 15.2336
Ba Pr Mg Ru O
6 2 1 4 18
Cartesian
0.0326 0.0000 3.6585 Ba
2.5637 0.0000 9.7424 Ba
2.6502 0.0000 13.8816 Ba
6.9655 0.0000 1.3520 Ba
7.0520 0.0000 5.4911 Ba
9.5830 0.0000 11.5751 Ba
0.0000 0.0000 0.0000 Pr
-0.4192 0.0000 7.6168 Pr
4.8078 0.0000 7.6168 Mg
3.2119 0.0000 5.0000 Ru
3.5043 0.0000 2.4753 Ru
6.1114 0.0000 12.7583 Ru
6.4038 0.0000 10.2336 Ru
2.5168 1.4102 3.6168 O
1.5087 0.0000 6.0432 O
4.0205 1.3388 6.3079 O
2.0473 0.0000 1.1358 O
4.4581 1.4114 1.4689 O
5.1576 1.4114 13.7647 O
5.5952 1.3388 8.9257 O
2.5168 -1.4102 3.6168 O
4.9528 0.0000 3.9197 O
4.6628 0.0000 11.3138 O
7.0989 1.4102 11.6168 O
4.0205 -1.3388 6.3079 O
4.4581 -1.4114 1.4689 O
5.1576 -1.4114 13.7647 O
7.5683 0.0000 14.0977 O
5.5952 -1.3388 8.9257 O
8.1070 0.0000 9.1904 O
7.0989 -1.4102 11.6168 O
```